This entry pairs a crystal structure of K2CeNp2Se6 with its computed powder XRD pattern. Radiation: Cu Kα (weighted mean of Kα1 and Kα2). Structure: a crystal structure in Alexandria, relaxed with GGA-PBE.
Intensities are scaled so that the largest is 100.

Main lines, by angle (10° ≤ 2θ ≤ 80°):
d/Å, 2theta, I (rel.), index
7.811, 11.33, 100, 0 0 1
3.635, 24.49, 17, 1 3 0
3.117, 28.64, 68, 1 3 1
3.104, 28.76, 34, 2 0 -2
2.478, 36.26, 21, 1 3 2
2.290, 39.34, 23, 1 3 -3
2.119, 42.67, 25, 3 3 -1
1.843, 49.45, 17, 2 0 3

Structure:
```
data_K2CeNp2Se6
_space_group_name_H-M_alt 'C 1 2/m 1'
_space_group_IT_number 12
_cell_length_a 7.3322
_cell_length_b 12.7606
_cell_length_c 8.1789
_cell_angle_alpha 90.00
_cell_angle_beta 107.25
_cell_angle_gamma 90.00
loop_
_space_group_symop_operation_xyz
'x,y,z'
'-x,-y,-z'
'-x,y,-z'
'x,-y,z'
'x+1/2,y+1/2,z'
'-x+1/2,-y+1/2,-z'
'-x+1/2,y+1/2,-z'
'x+1/2,-y+1/2,z'
loop_
_atom_site_label
_atom_site_type_symbol
_atom_site_fract_x
_atom_site_fract_y
_atom_site_fract_z
K1 K 0.0000 0.1658 0.0000
Ce1 Ce 0.0000 0.0000 0.5000
Np1 Np 0.0000 0.3340 0.5000
Se1 Se 0.2277 0.5000 0.7007
Se2 Se 0.2346 0.1707 0.6994
```